Starting from the PBE geometry in Alexandria, the powder diffractogram of Co2AsRu was computed for copper Kα.
No peak broadening, texture or thermal motion is included.

Top 10 peaks for 5° ≤ 2θ ≤ 70°, sorted by position:
d [Å]  intensity
4.127  4
3.636  7
2.738  3
2.506  3
2.187  100
2.064  83
1.849  58
1.818  28
1.648  3
1.369  10

Crystal structure
```
data_Co2AsRu
_cell_length_a 4.416
_cell_length_b 4.416
_cell_length_c 2.738
_cell_angle_alpha 90.00
_cell_angle_beta 90.00
_cell_angle_gamma 110.84
_symmetry_space_group_name_H-M 'P 1'
_symmetry_Int_Tables_number 1
_symmetry_space_group_name_Hall 'P 1'
loop_
_atom_site_label
_atom_site_fract_x
_atom_site_fract_y
_atom_site_fract_z
Co1 0.000 0.500 0.000
Co2 0.500 0.000 0.000
As1 0.000 0.000 0.500
Ru1 0.500 0.500 0.500
```

---

Starting from the PBE geometry in Alexandria, the powder diffractogram of NbVNi was computed for copper Kα.
No peak broadening, texture or thermal motion is included.

Top 10 peaks for 5° ≤ 2θ ≤ 70°, sorted by position:
d [Å]  intensity
3.741  16
2.352  100
2.344  95
2.135  20
2.077  68
1.916  45
1.903  41
1.870  26
1.865  28
1.367  32

Crystal structure
```
data_NbVNi
_cell_length_a 4.887
_cell_length_b 4.887
_cell_length_c 4.887
_cell_angle_alpha 121.81
_cell_angle_beta 103.31
_cell_angle_gamma 104.04
_symmetry_space_group_name_H-M 'P 1'
_symmetry_Int_Tables_number 1
_symmetry_space_group_name_Hall 'P 1'
loop_
_atom_site_label
_atom_site_fract_x
_atom_site_fract_y
_atom_site_fract_z
Nb1 0.151 0.250 0.401
Nb2 0.849 0.750 0.599
V1 0.148 0.560 0.088
V2 0.472 0.060 0.912
Ni1 0.646 0.146 0.500
Ni2 0.646 0.646 0.000
```